The following is a computed powder diffractogram of Tb3Ga12Au. It was derived from a PBE-relaxed structure, using copper Kα.
Intensities are scaled so that the largest is 100.

Principal peaks in the range 2θ = 5–70°, in order of rising 2θ:
Position (°2θ)	intensity
5.3	4
20.7	12
21.2	6
29.4	5
29.8	10
36.5	100
42.1	35
43.1	15
47.6	3
52.4	4
61.0	11
61.8	20

Crystal structure
Lattice parameters (Å, degrees): 4.295 4.295 16.788 90.00 90.00 90.00
Fractional coordinates of all 16 atoms:
Tb 0.000 0.000 0.000
Tb 0.000 0.000 0.257
Tb 0.000 0.000 0.743
Ga 0.000 0.500 0.128
Ga 0.000 0.500 0.388
Ga 0.000 0.500 0.612
Ga 0.000 0.500 0.872
Ga 0.500 0.000 0.128
Ga 0.500 0.000 0.388
Ga 0.500 0.000 0.612
Ga 0.500 0.000 0.872
Ga 0.500 0.500 0.000
Ga 0.500 0.500 0.247
Ga 0.500 0.500 0.500
Ga 0.500 0.500 0.753
Au 0.000 0.000 0.500

The following is a computed powder diffractogram of Tl2Se3. It was derived from a PBE-relaxed structure, using copper Kα.
Intensities are scaled so that the largest is 100.

Principal peaks in the range 2θ = 5–70°, in order of rising 2θ:
Position (°2θ)	intensity
25.0	53
25.3	24
27.9	31
29.6	19
31.1	61
32.0	100
32.5	75
38.6	30
51.8	25
51.9	20
57.7	21
60.0	18

Crystal structure
Lattice parameters (Å, degrees): 6.401 7.229 7.648 70.85 90.00 63.73
Fractional coordinates of all 10 atoms:
Tl 0.066 0.226 0.024
Tl 0.293 0.774 0.475
Tl 0.707 0.226 0.525
Tl 0.934 0.774 0.976
Se 0.146 0.371 0.441
Se 0.343 0.000 0.750
Se 0.484 0.370 0.941
Se 0.516 0.630 0.059
Se 0.657 0.000 0.250
Se 0.854 0.629 0.559

The following is a computed powder diffractogram of Hf2MgTiOs. It was derived from a PBE-relaxed structure, using copper Kα.
Intensities are scaled so that the largest is 100.

Principal peaks in the range 2θ = 5–70°, in order of rising 2θ:
Position (°2θ)	intensity
17.5	48
18.7	100
25.7	24
31.3	31
35.4	72
37.9	30
39.8	12
40.4	59
51.0	26
52.8	46
54.8	25
65.2	24

Crystal structure
Lattice parameters (Å, degrees): 5.067 5.067 4.749 90.00 90.00 90.00
Fractional coordinates of all 5 atoms:
Hf 0.000 0.500 0.000
Hf 0.500 0.000 0.000
Mg 0.000 0.000 0.500
Ti 0.500 0.500 0.500
Os 0.500 0.500 0.000

The following is a computed powder diffractogram of Cd7In16Hg6. It was derived from a PBE-relaxed structure, using copper Kα.
Intensities are scaled so that the largest is 100.

Principal peaks in the range 2θ = 5–70°, in order of rising 2θ:
Position (°2θ)	intensity
26.5	15
29.8	27
31.7	79
34.6	100
36.7	29
40.8	10
47.6	13
49.7	15
52.9	21
54.1	13
57.5	9
63.0	23

Crystal structure
Lattice parameters (Å, degrees): 10.383 10.383 10.383 60.00 60.00 60.00
Fractional coordinates of all 29 atoms:
Cd 0.000 0.000 0.000
Cd 0.000 0.000 0.500
Cd 0.000 0.500 0.000
Cd 0.000 0.500 0.500
Cd 0.500 0.000 0.000
Cd 0.500 0.000 0.500
Cd 0.500 0.500 0.000
In 0.046 0.651 0.651
In 0.120 0.120 0.120
In 0.120 0.120 0.639
In 0.120 0.639 0.120
In 0.349 0.349 0.349
In 0.349 0.349 0.954
In 0.349 0.954 0.349
In 0.361 0.880 0.880
In 0.639 0.120 0.120
In 0.651 0.046 0.651
In 0.651 0.651 0.046
In 0.651 0.651 0.651
In 0.880 0.361 0.880
In 0.880 0.880 0.361
In 0.880 0.880 0.880
In 0.954 0.349 0.349
Hg 0.320 0.320 0.680
Hg 0.320 0.680 0.320
Hg 0.320 0.680 0.680
Hg 0.680 0.320 0.320
Hg 0.680 0.320 0.680
Hg 0.680 0.680 0.320

The following is a computed powder diffractogram of Y4Al23Ni6. It was derived from a PBE-relaxed structure, using copper Kα.
Intensities are scaled so that the largest is 100.

Principal peaks in the range 2θ = 5–70°, in order of rising 2θ:
Position (°2θ)	intensity
22.6	30
30.3	53
31.1	29
35.8	62
36.0	32
37.0	74
37.5	77
39.9	47
40.0	33
44.3	100
45.7	25
46.0	25

Crystal structure
Lattice parameters (Å, degrees): 8.209 8.209 18.207 112.19 112.19 28.84
Fractional coordinates of all 33 atoms:
Y 0.072 0.072 0.406
Y 0.234 0.234 0.781
Y 0.766 0.766 0.219
Y 0.928 0.928 0.594
Al 0.032 0.032 0.781
Al 0.067 0.067 0.940
Al 0.110 0.110 0.162
Al 0.122 0.122 0.595
Al 0.225 0.225 0.324
Al 0.243 0.243 0.953
Al 0.299 0.299 0.480
Al 0.356 0.356 0.144
Al 0.409 0.409 0.720
Al 0.410 0.410 0.950
Al 0.419 0.419 0.314
Al 0.500 0.500 0.500
Al 0.581 0.581 0.686
Al 0.590 0.590 0.050
Al 0.591 0.591 0.280
Al 0.644 0.644 0.856
Al 0.701 0.701 0.520
Al 0.757 0.757 0.047
Al 0.775 0.775 0.676
Al 0.878 0.878 0.405
Al 0.890 0.890 0.838
Al 0.933 0.933 0.060
Al 0.968 0.968 0.219
Ni 0.190 0.190 0.068
Ni 0.272 0.272 0.601
Ni 0.492 0.492 0.864
Ni 0.508 0.508 0.136
Ni 0.728 0.728 0.399
Ni 0.810 0.810 0.932

The following is a computed powder diffractogram of Ba2LiCrH6. It was derived from a PBE-relaxed structure, using copper Kα.
Intensities are scaled so that the largest is 100.

Principal peaks in the range 2θ = 5–70°, in order of rising 2θ:
Position (°2θ)	intensity
18.4	9
25.9	100
32.2	55
41.3	19
41.8	29
49.6	13
53.4	9
53.7	26
57.4	10
59.8	10
63.7	11
67.4	7

Crystal structure
Lattice parameters (Å, degrees): 5.558 5.558 4.900 90.00 90.00 120.00
Fractional coordinates of all 10 atoms:
Ba 0.333 0.667 0.257
Ba 0.667 0.333 0.743
Li 0.000 0.000 0.000
Cr 0.000 0.000 0.500
H 0.149 0.297 0.720
H 0.149 0.851 0.720
H 0.297 0.149 0.280
H 0.703 0.851 0.720
H 0.851 0.149 0.280
H 0.851 0.703 0.280

The following is a computed powder diffractogram of Tb5U2Ru5. It was derived from a PBE-relaxed structure, using copper Kα.
Intensities are scaled so that the largest is 100.

Principal peaks in the range 2θ = 5–70°, in order of rising 2θ:
Position (°2θ)	intensity
20.6	33
24.2	16
27.1	43
33.5	100
34.5	27
35.0	31
36.9	82
38.5	18
39.2	30
41.2	16
41.7	24
46.3	17

Crystal structure
Lattice parameters (Å, degrees): 4.876 5.374 12.068 77.27 78.39 63.12
Fractional coordinates of all 12 atoms:
Tb 0.000 0.000 0.000
Tb 0.175 0.197 0.453
Tb 0.265 0.314 0.156
Tb 0.735 0.686 0.844
Tb 0.825 0.803 0.547
U 0.482 0.319 0.714
U 0.518 0.681 0.286
Ru 0.233 0.838 0.698
Ru 0.379 0.329 0.913
Ru 0.500 0.500 0.500
Ru 0.621 0.671 0.087
Ru 0.767 0.162 0.302

The following is a computed powder diffractogram of UTi2Pb. It was derived from a PBE-relaxed structure, using copper Kα.
Intensities are scaled so that the largest is 100.

Principal peaks in the range 2θ = 5–70°, in order of rising 2θ:
Position (°2θ)	intensity
25.7	54
26.9	25
36.7	55
37.5	100
46.1	26
52.8	19
55.4	8
59.6	12
60.3	12
62.1	12
66.6	38
68.3	16

Crystal structure
Lattice parameters (Å, degrees): 3.466 3.466 6.629 90.00 90.00 90.00
Fractional coordinates of all 4 atoms:
U 0.000 0.000 0.000
Ti 0.500 0.500 0.220
Ti 0.500 0.500 0.780
Pb 0.000 0.000 0.500

The following is a computed powder diffractogram of Nd3Al4Ir4. It was derived from a PBE-relaxed structure, using copper Kα.
Intensities are scaled so that the largest is 100.

Principal peaks in the range 2θ = 5–70°, in order of rising 2θ:
Position (°2θ)	intensity
28.4	93
32.9	100
36.9	49
40.5	3
43.9	16
50.2	57
53.1	15
55.9	25
58.7	19
61.3	9
66.4	10
68.9	5

Crystal structure
Lattice parameters (Å, degrees): 6.677 6.677 6.677 109.47 109.47 109.47
Fractional coordinates of all 11 atoms:
Nd 0.000 0.500 0.500
Nd 0.500 0.000 0.500
Nd 0.500 0.500 0.000
Al 0.000 0.000 0.261
Al 0.000 0.261 0.000
Al 0.261 0.000 0.000
Al 0.739 0.739 0.739
Ir 0.000 0.000 0.625
Ir 0.000 0.625 0.000
Ir 0.375 0.375 0.375
Ir 0.625 0.000 0.000

The following is a computed powder diffractogram of Ba3InHg10. It was derived from a PBE-relaxed structure, using copper Kα.
Intensities are scaled so that the largest is 100.

Principal peaks in the range 2θ = 5–70°, in order of rising 2θ:
Position (°2θ)	intensity
17.5	17
29.1	18
29.9	84
31.3	26
31.7	15
33.5	100
34.9	28
39.3	35
39.8	18
49.1	21
57.6	16
58.1	16

Crystal structure
Lattice parameters (Å, degrees): 9.608 9.608 9.608 147.63 116.34 73.24
Fractional coordinates of all 14 atoms:
Ba 0.000 0.000 0.000
Ba 0.297 0.297 0.000
Ba 0.703 0.703 0.000
In 0.500 0.000 0.500
Hg 0.016 0.661 0.355
Hg 0.146 0.859 0.287
Hg 0.306 0.661 0.645
Hg 0.321 0.500 0.821
Hg 0.429 0.141 0.287
Hg 0.571 0.859 0.713
Hg 0.679 0.500 0.179
Hg 0.694 0.339 0.355
Hg 0.854 0.141 0.713
Hg 0.984 0.339 0.645

The following is a computed powder diffractogram of Pm5Bi2Ir. It was derived from a PBE-relaxed structure, using copper Kα.
Intensities are scaled so that the largest is 100.

Principal peaks in the range 2θ = 5–70°, in order of rising 2θ:
Position (°2θ)	intensity
17.8	32
27.9	50
29.7	98
31.2	57
32.0	48
32.3	35
34.8	100
41.2	37
41.9	20
44.5	30
56.1	23
58.5	17

Crystal structure
Lattice parameters (Å, degrees): 5.824 5.824 16.622 90.00 90.00 117.84
Fractional coordinates of all 16 atoms:
Pm 0.072 0.928 0.604
Pm 0.072 0.928 0.896
Pm 0.257 0.743 0.250
Pm 0.407 0.593 0.631
Pm 0.407 0.593 0.869
Pm 0.593 0.407 0.131
Pm 0.593 0.407 0.369
Pm 0.743 0.257 0.750
Pm 0.928 0.072 0.104
Pm 0.928 0.072 0.396
Bi 0.266 0.734 0.058
Bi 0.266 0.734 0.442
Bi 0.734 0.266 0.558
Bi 0.734 0.266 0.942
Ir 0.206 0.794 0.750
Ir 0.794 0.206 0.250

The following is a computed powder diffractogram of CsUSb2S8. It was derived from a PBE-relaxed structure, using copper Kα.
Intensities are scaled so that the largest is 100.

Principal peaks in the range 2θ = 5–70°, in order of rising 2θ:
Position (°2θ)	intensity
13.7	52
16.4	100
22.9	86
23.8	82
33.2	50
37.9	26
41.3	44
41.8	18
44.4	38
48.7	23
54.4	17
57.0	19

Crystal structure
Lattice parameters (Å, degrees): 7.484 7.484 9.727 90.00 90.00 120.00
Fractional coordinates of all 12 atoms:
Cs 0.000 0.000 0.000
U 0.000 0.000 0.500
Sb 0.333 0.667 0.260
Sb 0.667 0.333 0.740
S 0.153 0.306 0.334
S 0.153 0.847 0.334
S 0.306 0.153 0.666
S 0.333 0.667 0.027
S 0.667 0.333 0.973
S 0.694 0.847 0.334
S 0.847 0.153 0.666
S 0.847 0.694 0.666